# 1
Computed powder X-ray diffraction pattern of LiVC2O6 for Cu Kα, from a DFT-relaxed cell (GGA+U, the Materials Project).

Peak list (10 most intense, 2θ = 10–80°, by angle)
| 2θ/deg | Rel. int. |
| --- | --- |
| 16.5 | 100 |
| 22.0 | 63 |
| 22.4 | 40 |
| 27.6 | 96 |
| 27.9 | 44 |
| 40.2 | 37 |
| 40.4 | 36 |
| 40.5 | 30 |
| 42.1 | 36 |
| 42.6 | 72 |

Crystal structure
abc: 7.076 7.076 9.383
angles: 109.17 109.17 68.32
Fractional coordinates of all 40 atoms:
Li 0.000 0.000 0.000
Li 0.000 0.000 0.500
Li 0.500 0.499 0.750
Li 0.501 0.500 0.250
V 0.424 0.076 0.375
V 0.424 0.076 0.876
V 0.924 0.576 0.124
V 0.924 0.576 0.625
C 0.199 0.537 0.433
C 0.199 0.537 0.933
C 0.463 0.801 0.067
C 0.463 0.801 0.567
C 0.700 0.037 0.184
C 0.700 0.037 0.684
C 0.963 0.300 0.316
C 0.963 0.300 0.816
O 0.063 0.676 0.508
O 0.064 0.677 0.008
O 0.111 0.159 0.255
O 0.111 0.159 0.754
O 0.192 0.547 0.295
O 0.193 0.547 0.795
O 0.323 0.936 0.992
O 0.324 0.937 0.492
O 0.341 0.389 0.995
O 0.341 0.390 0.495
O 0.453 0.807 0.205
O 0.453 0.808 0.705
O 0.563 0.176 0.258
O 0.563 0.176 0.758
O 0.610 0.659 0.505
O 0.611 0.659 0.005
O 0.693 0.047 0.546
O 0.694 0.047 0.046
O 0.824 0.437 0.242
O 0.824 0.437 0.742
O 0.841 0.889 0.246
O 0.841 0.889 0.745
O 0.953 0.306 0.954
O 0.953 0.307 0.454

# 2
Computed powder X-ray diffraction pattern of LiVC2O6 for Cu Kα, from a DFT-relaxed cell (GGA+U, the Materials Project).

Peak list (10 most intense, 2θ = 10–80°, by angle)
| 2θ/deg | Rel. int. |
| --- | --- |
| 12.5 | 100 |
| 21.1 | 20 |
| 25.9 | 22 |
| 28.7 | 19 |
| 29.5 | 47 |
| 31.8 | 62 |
| 40.2 | 22 |
| 43.0 | 20 |
| 47.4 | 16 |
| 49.2 | 18 |

Crystal structure
abc: 6.184 4.626 7.224
angles: 90.00 101.40 90.00
Fractional coordinates of all 20 atoms:
Li 0.171 0.000 0.059
Li 0.829 0.500 0.941
V 0.269 0.968 0.591
V 0.731 0.468 0.409
C 0.230 0.489 0.381
C 0.262 0.470 0.863
C 0.738 0.970 0.137
C 0.770 0.989 0.619
O 0.067 0.635 0.427
O 0.156 0.574 0.982
O 0.214 0.220 0.341
O 0.276 0.187 0.844
O 0.363 0.630 0.760
O 0.409 0.641 0.392
O 0.591 0.141 0.608
O 0.637 0.130 0.240
O 0.724 0.687 0.156
O 0.786 0.720 0.659
O 0.844 0.074 0.018
O 0.933 0.135 0.573

# 3
Computed powder X-ray diffraction pattern of LiVC2O6 for Cu Kα, from a DFT-relaxed cell (GGA+U, the Materials Project).

Peak list (10 most intense, 2θ = 10–80°, by angle)
| 2θ/deg | Rel. int. |
| --- | --- |
| 14.8 | 46 |
| 19.3 | 100 |
| 24.2 | 25 |
| 29.9 | 45 |
| 30.7 | 71 |
| 32.5 | 74 |
| 33.5 | 20 |
| 44.8 | 40 |
| 47.6 | 17 |
| 53.5 | 16 |

Crystal structure
abc: 5.786 6.134 6.136
angles: 91.14 102.26 102.20
Fractional coordinates of all 20 atoms:
Li 0.249 0.119 0.380
Li 0.751 0.881 0.620
V 0.250 0.691 0.808
V 0.750 0.309 0.192
C 0.223 0.620 0.312
C 0.277 0.188 0.880
C 0.723 0.812 0.120
C 0.777 0.380 0.688
O 0.110 0.414 0.324
O 0.163 0.005 0.758
O 0.218 0.709 0.126
O 0.282 0.374 0.791
O 0.336 0.743 0.495
O 0.390 0.176 0.086
O 0.610 0.824 0.914
O 0.664 0.257 0.505
O 0.718 0.626 0.209
O 0.782 0.291 0.874
O 0.837 0.995 0.242
O 0.890 0.586 0.676